Computed XRD peak list
Compound: NaPF5
Radiation: Cu Ka
Structure: a structure optimized by DFT (GGA-PBE)
Neutral-atom scattering factors, no anomalous dispersion.

Main lines, by angle (10° ≤ 2θ ≤ 80°):
| 2θ/deg | d [Å] | Rel. int. |
| --- | --- | --- |
| 18.3 | 4.855 | 30 |
| 19.2 | 4.634 | 49 |
| 21.4 | 4.154 | 100 |
| 22.1 | 4.030 | 30 |
| 23.4 | 3.797 | 28 |
| 25.4 | 3.512 | 100 |

Structure:
```
data_NaPF5
_chemical_formula_sum 'Na2 P2 F10'
_space_group_name_H-M_alt 'P 1'
_space_group_IT_number 1
_space_group_name_Hall 'P 1'
_cell_length_a 5.1171
_cell_length_b 5.3803
_cell_length_c 8.2924
_cell_angle_alpha 93.79
_cell_angle_beta 101.84
_cell_angle_gamma 103.07
loop_
_atom_site_label
_atom_site_fract_x
_atom_site_fract_y
_atom_site_fract_z
_atom_site_occupancy
Na1 0.0000 0.0000 0.0000 1
Na2 0.0097 0.6144 0.5485 1
P1 0.5249 0.9797 0.3096 1
P2 0.5753 0.4628 0.8514 1
F1 0.2907 0.7668 0.1721 1
F2 0.2920 0.2421 0.8747 1
F3 0.3491 0.1934 0.2630 1
F4 0.3571 0.8962 0.4535 1
F5 0.4147 0.4712 0.6602 1
F6 0.6956 0.0627 0.1654 1
F7 0.7009 0.7640 0.3536 1
F8 0.7170 0.2282 0.8178 1
F9 0.7597 0.1932 0.4454 1
F10 0.8920 0.6781 0.7893 1
```

---

Computed XRD peak list
Compound: NaPF4
Radiation: Cu Ka
Structure: a structure optimized by DFT (GGA-PBE)
Neutral-atom scattering factors, no anomalous dispersion.

Main lines, by angle (10° ≤ 2θ ≤ 80°):
| 2θ/deg | d [Å] | Rel. int. |
| --- | --- | --- |
| 19.1 | 4.647 | 46 |
| 24.7 | 3.608 | 100 |
| 25.1 | 3.551 | 98 |
| 26.4 | 3.378 | 76 |
| 28.4 | 3.143 | 59 |
| 47.8 | 1.902 | 43 |

Structure:
```
data_NaPF4
_chemical_formula_sum 'Na2 P2 F8'
_space_group_name_H-M_alt 'P 1'
_space_group_IT_number 1
_space_group_name_Hall 'P 1'
_cell_length_a 6.7568
_cell_length_b 4.2678
_cell_length_c 6.4005
_cell_angle_alpha 90.00
_cell_angle_beta 90.00
_cell_angle_gamma 90.00
loop_
_atom_site_label
_atom_site_fract_x
_atom_site_fract_y
_atom_site_fract_z
_atom_site_occupancy
Na1 0.0000 0.0185 0.0000 1
Na2 0.5000 0.9815 0.5000 1
P1 0.0000 0.5995 0.5643 1
P2 0.5000 0.4005 0.0643 1
F1 0.0000 0.5136 0.8574 1
F2 0.0000 0.7540 0.3142 1
F3 0.1811 0.8425 0.6243 1
F4 0.3189 0.1575 0.1243 1
F5 0.5000 0.2460 0.8142 1
F6 0.5000 0.4864 0.3574 1
F7 0.6811 0.1575 0.1243 1
F8 0.8189 0.8425 0.6243 1
```

---

Computed XRD peak list
Compound: Rb2NaPaF8
Radiation: Cu Ka
Structure: a structure optimized by DFT (GGA-PBE)
Neutral-atom scattering factors, no anomalous dispersion.

Main lines, by angle (10° ≤ 2θ ≤ 80°):
| 2θ/deg | d [Å] | Rel. int. |
| --- | --- | --- |
| 15.4 | 5.763 | 23 |
| 16.3 | 5.443 | 51 |
| 25.6 | 3.480 | 100 |
| 41.4 | 2.183 | 22 |
| 42.9 | 2.106 | 42 |
| 49.3 | 1.849 | 33 |

Structure:
```
data_Rb2NaPaF8
_chemical_formula_sum 'Rb2 Na1 Pa1 F8'
_space_group_name_H-M_alt 'P 1'
_space_group_IT_number 1
_space_group_name_Hall 'P 1'
_cell_length_a 7.2299
_cell_length_b 7.2299
_cell_length_c 7.2299
_cell_angle_alpha 129.44
_cell_angle_beta 129.44
_cell_angle_gamma 74.30
loop_
_atom_site_label
_atom_site_fract_x
_atom_site_fract_y
_atom_site_fract_z
_atom_site_occupancy
Rb1 0.0000 0.0000 0.0000 1
Rb2 0.7500 0.2500 0.5000 1
Na1 0.5000 0.5000 0.0000 1
Pa1 0.2500 0.7500 0.5000 1
F1 0.1602 0.0770 0.5133 1
F2 0.1602 0.6470 0.0832 1
F3 0.3530 0.4362 0.5133 1
F4 0.3530 0.8398 0.9168 1
F5 0.5638 0.0770 0.9168 1
F6 0.5638 0.6470 0.4867 1
F7 0.9230 0.4362 0.0832 1
F8 0.9230 0.8398 0.4867 1
```